This entry pairs a crystal structure of K2NdV3F12 with its computed powder X-ray diffraction pattern. Radiation: Cu Kα (λ = 1.5418 Å). Structure: a structure optimized by DFT (PBE+U).
Intensities are scaled so that the largest is 1000.

Structure:
a b c (Å): 7.7147 7.7147 17.0398
angles (deg): 90.00 90.00 120.00
Space group R-3m (No. 166, hexagonal axes)
Unique sites:
K1 0.0000 0.0000 0.1213 (multiplicity 6)
Nd1 0.0000 0.0000 0.5000 (multiplicity 3)
V1 0.0000 0.5000 0.0000 (multiplicity 9)
F1 0.0066 0.5033 0.8796 (multiplicity 18)
F2 0.0792 0.5396 0.3148 (multiplicity 18)

The 10 most intense peaks (5 to 70 degrees two-theta), by intensity:
2θ (°), Rel. int., index
14.2, 1000, 1 0 1
28.0, 705, 1 1 3
47.1, 386, 2 2 0
28.7, 325, 2 0 2
43.7, 266, 0 3 3
29.4, 221, 0 1 5
31.5, 188, 0 0 6
50.8, 170, 2 0 8
16.9, 166, 0 1 2
37.1, 157, 1 2 2